Record 1
# Sr2ZrHg
Theoretical X-ray powder pattern, Cu Kα. Input: a crystal structure in Alexandria, relaxed with PBE.
No peak broadening, texture or thermal motion is included.

Peak list (10 most intense, 15 to 90 degrees two-theta, low angle first)
30.0 deg, I = 100; 33.7 deg, I = 58; 35.0 deg, I = 19; 36.6 deg, I = 48; 44.0 deg, I = 13; 48.4 deg, I = 21; 53.0 deg, I = 14; 58.1 deg, I = 31; 58.8 deg, I = 13; 62.2 deg, I = 20

Structure:
```
4
Lattice="3.7582 0.0000 0.0000 0.0000 3.7582 0.0000 0.0000 0.0000 9.7358" Properties=species:S:1:pos:R:3 pbc="T T T"
Sr 0.0000 0.0000 0.0000
Sr 1.8791 1.8791 3.5387
Zr 0.0000 0.0000 6.0658
Hg 1.8791 1.8791 7.4772
```

***

Record 2
# Ho4Ni2Pt
Theoretical X-ray powder pattern, Cu Kα. Input: a crystal structure in Alexandria, relaxed with PBE.
No peak broadening, texture or thermal motion is included.

Peak list (10 most intense, 15 to 90 degrees two-theta, low angle first)
27.8 deg, I = 47; 31.5 deg, I = 75; 32.3 deg, I = 66; 33.4 deg, I = 100; 33.7 deg, I = 59; 34.4 deg, I = 49; 38.1 deg, I = 41; 39.5 deg, I = 44; 40.1 deg, I = 43; 40.7 deg, I = 38

Structure:
```
14
Lattice="4.4023 -5.9804 0.0000 4.4023 5.9804 0.0000 -3.5025 0.0000 6.0056" Properties=species:S:1:pos:R:3 pbc="T T T"
Ho 2.6510 5.9313 3.0028
Ho 2.0430 2.2911 1.9960
Ho 5.5433 3.1355 1.5143
Ho 2.0063 0.7742 4.9895
Ho 0.2918 -2.2911 4.9988
Ho 3.7575 -0.7742 1.9867
Ho 3.7921 -3.1355 4.5171
Ho 4.4023 -5.9313 0.0000
Ni 1.9706 3.7067 4.7070
Ni -0.7780 0.2675 5.6630
Ni 0.9733 -0.2675 2.6602
Ni 3.7218 -3.7067 1.7042
Pt 4.5191 1.3670 3.5347
Pt 6.2703 -1.3670 0.5319
```

***

Record 3
# ZrPt3F
Theoretical X-ray powder pattern, Cu Kα. Input: a crystal structure in Alexandria, relaxed with PBE.
No peak broadening, texture or thermal motion is included.

Peak list (10 most intense, 15 to 90 degrees two-theta, low angle first)
20.2 deg, I = 10; 28.7 deg, I = 4; 35.4 deg, I = 100; 41.1 deg, I = 56; 46.2 deg, I = 5; 59.5 deg, I = 38; 63.5 deg, I = 2; 71.1 deg, I = 40; 74.8 deg, I = 13; 89.1 deg, I = 6

Structure:
```
5
Lattice="4.3960 0.0000 0.0000 0.0000 4.3960 0.0000 0.0000 0.0000 4.3960" Properties=species:S:1:pos:R:3 pbc="T T T"
Zr 0.0000 0.0000 0.0000
Pt 0.0000 2.1980 2.1980
Pt 2.1980 0.0000 2.1980
Pt 2.1980 2.1980 0.0000
F 2.1980 2.1980 2.1980
```

***

Record 4
# Li2OsSe
Theoretical X-ray powder pattern, Cu Kα. Input: a crystal structure in Alexandria, relaxed with PBE.
No peak broadening, texture or thermal motion is included.

Peak list (10 most intense, 15 to 90 degrees two-theta, low angle first)
21.4 deg, I = 19; 23.4 deg, I = 100; 29.8 deg, I = 41; 38.8 deg, I = 14; 41.3 deg, I = 76; 42.2 deg, I = 19; 43.2 deg, I = 25; 43.7 deg, I = 15; 52.5 deg, I = 17; 61.9 deg, I = 19

Structure:
```
4
Lattice="-1.6084 2.1415 4.1452 1.6084 -2.1415 4.1452 1.6084 2.1415 -4.1452" Properties=species:S:1:pos:R:3 pbc="T T T"
Li 0.0000 0.0000 0.0000
Li 0.0000 2.1415 2.0651
Os 0.0000 0.0000 3.9196
Se 1.6084 0.0000 2.1034
```

***

Record 5
# Rb3Hg2S3ClO12
Theoretical X-ray powder pattern, Cu Kα. Input: a crystal structure in Alexandria, relaxed with PBE.
No peak broadening, texture or thermal motion is included.

Peak list (10 most intense, 15 to 90 degrees two-theta, low angle first)
18.6 deg, I = 19; 20.0 deg, I = 73; 25.1 deg, I = 16; 25.7 deg, I = 18; 26.9 deg, I = 56; 27.6 deg, I = 43; 28.3 deg, I = 100; 29.3 deg, I = 45; 37.6 deg, I = 17; 44.6 deg, I = 21

Structure:
```
42
Lattice="8.1293 0.0000 0.0000 0.0000 10.0375 0.0000 -3.7138 0.0000 9.5661" Properties=species:S:1:pos:R:3 pbc="T T T"
Rb -0.2175 0.0000 2.5709
Rb -0.0227 1.9580 6.6793
Rb 2.1074 3.6724 1.2670
Rb 2.3081 8.6911 8.2991
Rb 4.4383 6.9768 2.8868
Rb 4.6331 5.0187 6.9951
Hg -1.6094 8.2569 9.1660
Hg 0.3031 6.0520 4.7836
Hg 4.1124 1.0333 4.7825
Hg 6.0250 3.2382 0.4001
S -0.1559 6.5406 0.9888
S -1.5212 8.5834 5.8149
S 0.4627 5.3889 8.2421
S 3.9529 0.3702 1.3240
S 5.9367 3.5647 3.7512
S 4.5714 1.5218 8.5773
Cl 2.0833 4.5154 4.5872
Cl 2.3322 9.5341 4.9789
O -3.2929 0.0648 8.7327
O -3.4002 7.0258 9.1516
O -1.7825 9.9610 5.3147
O -0.9768 2.7930 3.5024
O -2.3553 2.2943 8.2277
O -0.7135 7.9338 4.6617
O 0.9503 6.7638 1.9555
O -0.6192 8.6562 7.0141
O -0.5103 5.2650 7.1181
O 2.6602 0.9079 1.7651
O -0.1277 6.1543 9.3749
O 0.6388 3.9355 8.7441
O 3.7767 8.9542 0.8220
O 4.5432 1.1356 0.1912
O 1.7554 5.9266 7.8009
O 4.9258 0.2463 2.4480
O 5.0348 3.6375 2.5520
O 3.4652 1.7451 7.6106
O 5.1290 2.9150 4.9044
O 6.7709 7.3130 1.3384
O 5.3923 7.8117 6.0637
O 6.1981 4.9423 4.2514
O 7.8158 2.0070 0.4145
O 7.7084 5.0836 0.8334
```

***

Record 6
# LaErPt
Theoretical X-ray powder pattern, Cu Kα. Input: a crystal structure in Alexandria, relaxed with PBE.
No peak broadening, texture or thermal motion is included.

Peak list (10 most intense, 15 to 90 degrees two-theta, low angle first)
22.1 deg, I = 50; 28.6 deg, I = 47; 31.0 deg, I = 35; 31.3 deg, I = 50; 32.1 deg, I = 97; 35.7 deg, I = 100; 36.7 deg, I = 37; 37.0 deg, I = 37; 38.2 deg, I = 36; 40.1 deg, I = 38

Structure:
```
24
Lattice="7.0523 0.0000 0.0000 0.0000 13.4009 0.0000 0.0000 0.0000 7.1679" Properties=species:S:1:pos:R:3 pbc="T T T"
La 1.6422 2.6128 0.7045
La 1.6422 4.0877 4.2885
La 1.8839 9.3132 0.7045
La 1.8839 10.7881 4.2885
La 5.1684 2.6128 2.8794
La 5.1684 4.0877 6.4633
La 5.4101 9.3132 2.8794
La 5.4101 10.7881 6.4633
Er 0.0105 7.1140 5.4043
Er 0.0105 12.9873 1.8204
Er 3.5157 0.4136 5.4043
Er 3.5157 6.2869 1.8204
Er 3.5367 7.1140 5.3475
Er 3.5367 12.9873 1.7636
Er 7.0418 0.4136 5.3475
Er 7.0418 6.2869 1.7636
Pt 1.7043 8.0066 3.2919
Pt 1.7043 12.0947 6.8758
Pt 1.8219 1.3062 3.2919
Pt 1.8219 5.3943 6.8758
Pt 5.2304 8.0066 0.2920
Pt 5.2304 12.0947 3.8760
Pt 5.3481 1.3062 0.2920
Pt 5.3481 5.3943 3.8760
```

***

Record 7
# Sm3TeRh
Theoretical X-ray powder pattern, Cu Kα. Input: a crystal structure in Alexandria, relaxed with PBE.
No peak broadening, texture or thermal motion is included.

Peak list (10 most intense, 15 to 90 degrees two-theta, low angle first)
27.7 deg, I = 96; 30.8 deg, I = 54; 30.9 deg, I = 48; 31.1 deg, I = 70; 33.8 deg, I = 41; 34.1 deg, I = 100; 34.5 deg, I = 36; 37.1 deg, I = 49; 37.9 deg, I = 54; 43.6 deg, I = 55

Structure:
```
10
Lattice="8.2897 0.0000 0.0000 0.0000 4.1555 0.0000 -2.4467 0.0000 8.3408" Properties=species:S:1:pos:R:3 pbc="T T T"
Sm -0.0481 1.0389 2.1518
Sm 0.2813 1.0389 7.8035
Sm 1.1806 3.1166 4.9494
Sm 4.6624 1.0389 3.3913
Sm 5.5616 3.1166 0.5373
Sm 5.8910 3.1166 6.1890
Te 2.5695 3.1166 1.9707
Te 3.2735 1.0389 6.3701
Rh -0.8091 1.0389 5.0936
Rh 6.6521 3.1166 3.2472
```

***

Record 8
# Tm3ScSn
Theoretical X-ray powder pattern, Cu Kα. Input: a crystal structure in Alexandria, relaxed with PBE.
No peak broadening, texture or thermal motion is included.

Peak list (10 most intense, 15 to 90 degrees two-theta, low angle first)
27.5 deg, I = 100; 31.6 deg, I = 97; 32.7 deg, I = 52; 35.1 deg, I = 79; 38.4 deg, I = 34; 41.7 deg, I = 31; 44.2 deg, I = 18; 48.7 deg, I = 50; 61.4 deg, I = 20; 63.1 deg, I = 20

Structure:
```
10
Lattice="-5.4821 4.0304 3.3043 5.4821 -4.0304 3.3043 5.4821 4.0304 -3.3043" Properties=species:S:1:pos:R:3 pbc="T T T"
Tm 0.2734 2.0051 0.0000
Tm 5.2087 2.0051 0.0000
Tm 2.7411 3.4890 1.6308
Tm 0.2734 2.0254 3.3043
Tm 5.2087 2.0254 3.3043
Tm 2.7411 0.5414 4.9351
Sc 8.2232 2.0150 -0.0514
Sc -2.7411 2.0154 3.2528
Sn 8.2232 -0.4477 1.6255
Sn 2.7411 0.4477 1.6255
```

***

Repeat the second record exactly.
# Ho4Ni2Pt
Theoretical X-ray powder pattern, Cu Kα. Input: a crystal structure in Alexandria, relaxed with PBE.
No peak broadening, texture or thermal motion is included.

Peak list (10 most intense, 15 to 90 degrees two-theta, low angle first)
27.8 deg, I = 47; 31.5 deg, I = 75; 32.3 deg, I = 66; 33.4 deg, I = 100; 33.7 deg, I = 59; 34.4 deg, I = 49; 38.1 deg, I = 41; 39.5 deg, I = 44; 40.1 deg, I = 43; 40.7 deg, I = 38

Structure:
```
14
Lattice="4.4023 -5.9804 0.0000 4.4023 5.9804 0.0000 -3.5025 0.0000 6.0056" Properties=species:S:1:pos:R:3 pbc="T T T"
Ho 2.6510 5.9313 3.0028
Ho 2.0430 2.2911 1.9960
Ho 5.5433 3.1355 1.5143
Ho 2.0063 0.7742 4.9895
Ho 0.2918 -2.2911 4.9988
Ho 3.7575 -0.7742 1.9867
Ho 3.7921 -3.1355 4.5171
Ho 4.4023 -5.9313 0.0000
Ni 1.9706 3.7067 4.7070
Ni -0.7780 0.2675 5.6630
Ni 0.9733 -0.2675 2.6602
Ni 3.7218 -3.7067 1.7042
Pt 4.5191 1.3670 3.5347
Pt 6.2703 -1.3670 0.5319
```

***

- What is the formula in the second record?
  Ho4Ni2Pt